Computed XRD peak list of MgV4O6F6 for a wavelength of 1.5418 Å, from a DFT-relaxed cell (GGA+U, the Materials Project).
Lines closer than 0.1° are merged.

Principal peaks in the range 10 to 90 degrees two-theta, in order of rising 2θ:
2θ/deg, I_rel
22.9, 100.0
24.0, 96.7
24.2, 98.0
33.5, 25.2
46.8, 28.9
49.7, 21.7

```
17
Lattice="5.1031 0.0000 0.0000 2.4334 4.6077 0.0000 2.5461 -1.1645 9.0323" Properties=species:S:1:pos:R:3 pbc="T T T"
Mg 0.0000 0.0000 0.0000
V 4.8816 3.2403 6.1654
V 2.6858 1.7256 1.9048
V 7.4062 1.9693 8.3853
V 5.2336 0.1791 3.9597
O 1.3779 0.5819 2.8864
O 3.4534 2.9618 0.6394
O 6.2938 3.1315 7.4510
O 3.9408 1.3674 2.9484
O 8.6444 3.6284 5.1394
O 8.9463 2.2940 7.5811
F 3.6274 -0.1920 5.0777
F 5.5464 1.6674 5.2344
F 3.2034 0.1627 0.6586
F 7.0149 0.2676 7.4933
F 6.9971 3.2654 2.8342
F 5.9540 1.7136 0.6078
```